Entry 1:
For TmNi9Ge2, the PBE geometry in Alexandria gives the calculated PXRD pattern in this record (Cu Kα, 1.54184 Å).
Intensities are scaled so that the largest is 100.

Atomic structure:
a = 8.2320 Å, b = 8.2320 Å, c = 8.2320 Å
α = 34.02°, β = 34.02°, γ = 34.02°
Fractional positions:
Tm (0.0000, 0.0000, 0.0000)
Ni (0.0811, 0.5890, 0.5890)
Ni (0.3340, 0.3340, 0.3340)
Ni (0.4110, 0.4110, 0.9189)
Ni (0.4110, 0.9189, 0.4110)
Ni (0.5000, 0.5000, 0.5000)
Ni (0.5890, 0.0811, 0.5890)
Ni (0.5890, 0.5890, 0.0811)
Ni (0.6660, 0.6660, 0.6660)
Ni (0.9189, 0.4110, 0.4110)
Ge (0.1370, 0.1370, 0.1370)
Ge (0.8630, 0.8630, 0.8630)

Principal peaks in the range 15° ≤ 2θ ≤ 90°, in order of rising 2θ:
2theta	Rel. int.
34.53	25
37.35	39
37.73	31
43.58	37
44.29	100
72.20	22



Entry 2:
For Tm2Ni5Ge4, the PBE geometry in Alexandria gives the calculated PXRD pattern in this record (Cu Kα, 1.54184 Å).
Intensities are scaled so that the largest is 100.

Atomic structure:
a = 8.4303 Å, b = 7.5317 Å, c = 5.3393 Å
α = 79.86°, β = 61.58°, γ = 38.57°
Fractional positions:
Tm (0.1373, 0.1373, 0.8627)
Tm (0.8627, 0.8627, 0.1373)
Ni (0.0000, 0.0000, 0.5000)
Ni (0.2500, 0.2500, 0.2500)
Ni (0.5000, 0.5000, 0.0000)
Ni (0.5000, 0.5000, 0.5000)
Ni (0.7500, 0.7500, 0.7500)
Ge (0.2163, 0.5220, 0.4780)
Ge (0.4780, 0.7837, 0.2163)
Ge (0.5220, 0.2163, 0.7837)
Ge (0.7837, 0.4780, 0.5220)

Principal peaks in the range 15° ≤ 2θ ≤ 90°, in order of rising 2θ:
2theta	Rel. int.
27.09	36
31.92	43
34.18	52
38.80	100
39.04	46
42.57	76



What did the first record say?
For TmNi9Ge2, the PBE geometry in Alexandria gives the calculated PXRD pattern in this record (Cu Kα, 1.54184 Å).
Intensities are scaled so that the largest is 100.

Atomic structure:
a = 8.2320 Å, b = 8.2320 Å, c = 8.2320 Å
α = 34.02°, β = 34.02°, γ = 34.02°
Fractional positions:
Tm (0.0000, 0.0000, 0.0000)
Ni (0.0811, 0.5890, 0.5890)
Ni (0.3340, 0.3340, 0.3340)
Ni (0.4110, 0.4110, 0.9189)
Ni (0.4110, 0.9189, 0.4110)
Ni (0.5000, 0.5000, 0.5000)
Ni (0.5890, 0.0811, 0.5890)
Ni (0.5890, 0.5890, 0.0811)
Ni (0.6660, 0.6660, 0.6660)
Ni (0.9189, 0.4110, 0.4110)
Ge (0.1370, 0.1370, 0.1370)
Ge (0.8630, 0.8630, 0.8630)

Principal peaks in the range 15° ≤ 2θ ≤ 90°, in order of rising 2θ:
2theta	Rel. int.
34.53	25
37.35	39
37.73	31
43.58	37
44.29	100
72.20	22